RbBaCrH6: calculated powder diffractogram (Cu Ka), based on a crystal structure in Alexandria, relaxed with GGA-PBE.

Crystal structure
```
data_RbBaCrH6
_cell_length_a 5.4295
_cell_length_b 6.3153
_cell_length_c 5.4305
_cell_angle_alpha 90.00
_cell_angle_beta 119.81
_cell_angle_gamma 90.00
_symmetry_space_group_name_H-M 'P 1 m 1'
_symmetry_Int_Tables_number 6
_symmetry_space_group_name_Hall 'P -2y'
loop_
_atom_site_label
_atom_site_fract_x
_atom_site_fract_y
_atom_site_fract_z
_atom_site_occupancy
Rb1 0.0000 0.0000 0.0000 1
Ba1 0.3335 0.5000 0.6663 1
Cr1 0.6672 0.5000 0.3324 1
H1 0.3852 0.3296 0.1924 1
H2 0.8082 0.3307 0.1898 1
H3 0.8089 0.3297 0.6145 1
```

Main lines, in order of rising 2θ (15 to 90 degrees two-theta):
Position (°2θ), d [Å], I_rel, (hkl)
23.57, 3.774, 100, 1 1 -1
28.26, 3.158, 21, 0 2 0
32.96, 2.718, 42, 1 0 1
40.89, 2.207, 16, 2 1 0
43.96, 2.060, 38, 1 2 1
47.30, 1.922, 15, 1 3 -1

BaHf2Cr: calculated powder diffractogram (Cu Ka), based on a crystal structure in Alexandria, relaxed with GGA-PBE.

Crystal structure
```
data_BaHf2Cr
_cell_length_a 7.3746
_cell_length_b 7.3746
_cell_length_c 10.4541
_cell_angle_alpha 90.00
_cell_angle_beta 90.00
_cell_angle_gamma 90.00
_symmetry_space_group_name_H-M 'I 41/a m d'
_symmetry_Int_Tables_number 141
loop_
_symmetry_equiv_pos_as_xyz
'x,y,z'
'-x,-y,-z'
'-y+1/4,x+3/4,z+1/4'
'y+1/4,-x+3/4,-z+1/4'
'-x+1/2,-y,z+1/2'
'x+1/2,y,-z+1/2'
'y+1/4,-x+1/4,z+3/4'
'-y+1/4,x+1/4,-z+3/4'
'x,-y,-z'
'-x,y,z'
'-y+1/4,-x+1/4,-z+3/4'
'y+1/4,x+1/4,z+3/4'
'-x+1/2,y,-z+1/2'
'x+1/2,-y,z+1/2'
'y+1/4,x+3/4,-z+1/4'
'-y+1/4,-x+3/4,z+1/4'
'x+1/2,y+1/2,z+1/2'
'-x+1/2,-y+1/2,-z+1/2'
'-y+3/4,x+1/4,z+3/4'
'y+3/4,-x+1/4,-z+3/4'
'-x,-y+1/2,z'
'x,y+1/2,-z'
'y+3/4,-x+3/4,z+1/4'
'-y+3/4,x+3/4,-z+1/4'
'x+1/2,-y+1/2,-z+1/2'
'-x+1/2,y+1/2,z+1/2'
'-y+3/4,-x+3/4,-z+1/4'
'y+3/4,x+3/4,z+1/4'
'-x,y+1/2,-z'
'x,-y+1/2,z'
'y+3/4,x+1/4,-z+3/4'
'-y+3/4,-x+1/4,z+3/4'
loop_
_atom_site_label
_atom_site_fract_x
_atom_site_fract_y
_atom_site_fract_z
_atom_site_occupancy
Ba1 0.0000 0.2500 0.3750 1
Hf1 0.0000 0.0000 0.0000 1
Cr1 0.0000 0.2500 0.8750 1
```

Main lines, in order of rising 2θ (15 to 90 degrees two-theta):
Position (°2θ), d [Å], I_rel, (hkl)
24.12, 3.690, 50, 2 0 0
28.36, 3.147, 100, 2 1 1
29.65, 3.013, 69, 2 0 2
42.43, 2.131, 22, 3 1 2
49.39, 1.845, 59, 4 0 0
58.71, 1.573, 21, 4 2 2